Starting from a crystal structure in Alexandria, relaxed with PBE, the PXRD pattern of Pr6Dy3Ho2 was computed for Cu Kα, 1.54184 Å.
Neutral-atom scattering factors, no anomalous dispersion.

Crystal structure
```
Pr6Dy3Ho2
1.0
6.1660 0.0000 0.0000
2.9140 6.1606 0.0000
0.2049 0.0802 9.9148
Pr Dy Ho
6 3 2
direct
0.0965 0.3912 0.3189 Pr
0.2100 0.2270 0.9525 Pr
0.2497 0.8496 0.2259 Pr
0.7503 0.1504 0.7741 Pr
0.7900 0.7730 0.0475 Pr
0.9035 0.6088 0.6811 Pr
0.3453 0.6791 0.8675 Dy
0.5000 0.5000 0.5000 Dy
0.6547 0.3209 0.1325 Dy
0.2707 0.0463 0.6026 Ho
0.7293 0.9537 0.3974 Ho
```

Principal peaks in the range 2θ from 10° to 80°, low angle first:
2θ = 28.98°, 3.081 Å, I 65, (2 1 0)
2θ = 30.46°, 2.935 Å, I 100, (0 2 -1)
2θ = 31.26°, 2.861 Å, I 88, (1 0 3)
2θ = 31.60°, 2.831 Å, I 87, (-1 1 2)
2θ = 31.81°, 2.813 Å, I 77, (1 2 2)
2θ = 31.98°, 2.799 Å, I 78, (1 1 -3)
2θ = 41.81°, 2.160 Å, I 24, (2 -1 1)
2θ = 43.25°, 2.092 Å, I 24, (2 3 -1)
2θ = 48.09°, 1.892 Å, I 29, (0 1 5)
2θ = 55.34°, 1.660 Å, I 36, (1 3 -4)